For Tl2Bi2Pb2Au, a GGA-PBE-relaxed structure gives the theoretical X-ray powder pattern in this record (Cu Kα X-rays).

Top 10 peaks for 10 to 90 degrees two-theta, by angle:
d = 3.045 Å, rel. 21.6, (-1 1 1); d = 2.889 Å, rel. 29.0, (0 1 2); d = 2.785 Å, rel. 100.0, (2 0 1); d = 2.765 Å, rel. 32.9, (1 2 1); d = 2.748 Å, rel. 44.6, (1 -1 2); d = 2.726 Å, rel. 32.0, (1 -2 0); d = 2.004 Å, rel. 25.9, (-2 1 1); d = 1.897 Å, rel. 11.7, (0 3 -1); d = 1.594 Å, rel. 15.0, (3 -1 3); d = 1.393 Å, rel. 14.1, (4 0 2)

Cell and atoms:
```
Tl2Bi2Pb2Au
1.0
5.571 0.000 0.000
0.112 6.353 0.000
2.753 0.879 6.038
Tl Bi Pb Au
2 2 2 1
direct
0.066 0.269 0.373
0.934 0.731 0.627
0.374 0.356 0.753
0.626 0.644 0.247
0.251 0.826 0.990
0.749 0.174 0.010
0.500 0.000 0.500
```